(1)
Tm2AlCrO6: calculated XRD peak list (Cu Kα X-rays), based on a crystal structure in Alexandria, relaxed with PBE+U.
Peak positions follow from Bragg's law for the DFT cell and can differ from measured ones.

abc: 5.2406 5.2406 4.1844
angles: 90.00 90.00 90.00
Element x y z (fractional)
Tm 0.0000 0.5000 0.0000
Tm 0.5000 0.0000 0.0000
Al 0.0000 0.0000 0.5857
Cr 0.5000 0.5000 0.6131
O 0.0000 0.0000 0.1583
O 0.2421 0.2421 0.6841
O 0.2421 0.7579 0.6841
O 0.5000 0.5000 0.1380
O 0.7579 0.2421 0.6841
O 0.7579 0.7579 0.6841

The 6 most intense peaks (5 to 70 degrees two-theta), in order of rising 2θ:
two_theta  I/Imax
21.23  37
24.01  34
32.27  100
34.22  43
40.62  38
60.04  34



(2)
Sm2FeSbO7: calculated XRD peak list (Cu Kα X-rays), based on a crystal structure in Alexandria, relaxed with PBE+U.
Peak positions follow from Bragg's law for the DFT cell and can differ from measured ones.

abc: 7.3998 7.3998 7.3998
angles: 120.31 119.46 90.20
Element x y z (fractional)
Sm 0.0000 0.0000 0.0000
Sm 0.5000 0.0000 0.0000
Sm 0.5000 0.0000 0.5000
Sm 0.5000 0.5000 0.5000
Fe 0.0000 0.0000 0.5000
Fe 0.0000 0.5000 0.0000
Sb 0.0000 0.5000 0.5000
Sb 0.5000 0.5000 0.0000
O 0.0863 0.8363 0.2500
O 0.0872 0.4238 0.2603
O 0.0872 0.8269 0.6634
O 0.3279 0.5779 0.7500
O 0.3365 0.1731 0.7603
O 0.3365 0.5762 0.1634
O 0.3764 0.1264 0.2500
O 0.6236 0.8736 0.7500
O 0.6635 0.4238 0.8366
O 0.6635 0.8269 0.2397
O 0.6721 0.4221 0.2500
O 0.9128 0.1731 0.3366
O 0.9128 0.5762 0.7397
O 0.9137 0.1637 0.7500

The 6 most intense peaks (5 to 70 degrees two-theta), in order of rising 2θ:
two_theta  I/Imax
29.43  100
29.68  99
34.22  42
49.26  63
58.20  29
58.65  42